# DyCoNO
Computed X-ray powder pattern, a wavelength of 1.5418 Å. Input: the PBE+U geometry in OQMD.
Lines closer than 0.1° are merged.

Structure:
a = 3.372 Å, b = 3.372 Å, c = 4.339 Å
α = 90.00°, β = 90.00°, γ = 90.00°
Space group P4/mmm (No. 123)
Inequivalent atoms, fractional coordinates:
Dy  0.000  0.000  0.000 x1
Co  0.500  0.500  0.500 x1
N  0.500  0.500  0.000 x1
O  0.000  0.000  0.500 x1

Largest 8 diffraction maxima, by angle, 10° ≤ 2θ ≤ 90°:
| Position (°2θ) | intensity | hkl |
| --- | --- | --- |
| 20.5 | 20.6 | 0 0 1 |
| 26.4 | 25.3 | 1 0 0 |
| 33.7 | 100.0 | 1 0 1 |
| 37.7 | 63.2 | 1 1 0 |
| 41.6 | 23.7 | 0 0 2 |
| 54.4 | 20.8 | 2 0 0 |
| 57.4 | 35.1 | 1 1 2 |
| 65.5 | 30.5 | 2 1 1 |